For Nb3ClO7, a crystal structure in the Materials Project, relaxed with GGA-PBE gives the simulated X-ray diffraction stick pattern in this record (Cu Kα, 1.54184 Å).

Peak list (10 most intense, 2θ from 10° to 90°, by angle)
two_theta, I/Imax, h k l
19.55, 99, 2 2 0
23.44, 100, 1 0 1
23.83, 25, 4 1 0
26.63, 34, 2 3 0
27.67, 57, 4 2 0
32.76, 69, 3 2 1
46.48, 28, 0 0 2
46.97, 23, 4 5 0
47.54, 23, 6 4 0
52.88, 26, 7 3 1

Cell and atoms:
```
data_Nb3ClO7
_space_group_name_H-M_alt 'P n m a'
_space_group_IT_number 62
_space_group_name_Hall '-P 2ac 2n'
_cell_length_a 15.8617
_cell_length_b 11.0792
_cell_length_c 3.9080
_cell_angle_alpha 90.00
_cell_angle_beta 90.00
_cell_angle_gamma 90.00
loop_
_atom_site_label
_atom_site_type_symbol
_atom_site_fract_x
_atom_site_fract_y
_atom_site_fract_z
Nb1 Nb 0.0309 0.2500 0.0495
Nb2 Nb 0.1644 0.5371 0.0009
Cl1 Cl 0.2399 0.7500 0.0074
O1 O 0.0252 0.2500 0.5150
O2 O 0.0670 0.6260 0.9932
O3 O 0.1134 0.1157 0.0070
O4 O 0.2002 0.5301 0.5024
```